Simulated powder XRD pattern of BeIrCl for a wavelength of 1.5418 Å, from a crystal structure in Alexandria, relaxed with PBE.

Structure:
```
data_BeIrCl
_cell_length_a 2.8561
_cell_length_b 4.3906
_cell_length_c 10.1989
_cell_angle_alpha 78.91
_cell_angle_beta 88.88
_cell_angle_gamma 89.46
_space_group_name_H-M_alt 'P 1'
_space_group_IT_number 1
_space_group_name_Hall 'P 1'
loop_
_atom_site_label
_atom_site_type_symbol
_atom_site_fract_x
_atom_site_fract_y
_atom_site_fract_z
Be1 Be 0.2387 0.0807 0.3133
Be2 Be 0.7613 0.9193 0.6867
Ir1 Ir 0.2481 0.2486 0.5138
Ir2 Ir 0.7519 0.7514 0.4862
Cl1 Cl 0.2538 0.8316 0.8247
Cl2 Cl 0.7462 0.1684 0.1753
```

Top 12 peaks for 2θ = 5–70°, by intensity:
two_theta	d [Å]	I/Imax	index
8.84	10.007	1000	0 0 1
17.73	5.003	183	0 0 2
26.73	3.336	128	0 0 3
39.84	2.263	106	1 -1 1
37.68	2.387	82	1 1 1
43.95	2.060	53	1 1 -2
38.16	2.359	50	-1 1 1
41.94	2.154	37	0 2 0
35.90	2.502	36	0 0 4
43.66	2.073	36	1 -1 2
55.04	1.668	33	0 0 6
42.37	2.133	33	0 2 2

=====

Simulated powder XRD pattern of CsNpGaS4 for a wavelength of 1.5418 Å, from a crystal structure in Alexandria, relaxed with PBE.

Structure:
```
data_CsNpGaS4
_cell_length_a 6.4706
_cell_length_b 6.7347
_cell_length_c 9.5822
_cell_angle_alpha 90.00
_cell_angle_beta 109.33
_cell_angle_gamma 90.00
_space_group_name_H-M_alt 'P 1'
_space_group_IT_number 1
_space_group_name_Hall 'P 1'
loop_
_atom_site_label
_atom_site_type_symbol
_atom_site_fract_x
_atom_site_fract_y
_atom_site_fract_z
Cs1 Cs 0.2409 0.2500 0.4442
Cs2 Cs 0.7591 0.7500 0.5558
Np1 Np 0.2779 0.2500 0.9518
Np2 Np 0.7221 0.7500 0.0482
Ga1 Ga 0.2703 0.7500 0.1565
Ga2 Ga 0.7297 0.2500 0.8435
S1 S 0.0322 0.7500 0.9220
S2 S 0.0670 0.7500 0.3068
S3 S 0.4837 0.5074 0.8130
S4 S 0.4837 0.9926 0.8130
S5 S 0.5163 0.0074 0.1870
S6 S 0.5163 0.4926 0.1870
S7 S 0.9330 0.2500 0.6932
S8 S 0.9678 0.2500 0.0780
```

Top 12 peaks for 2θ = 5–70°, by intensity:
two_theta	d [Å]	I/Imax	index
19.63	4.523	1000	1 1 0
9.78	9.042	868	0 0 1
31.21	2.866	551	1 1 2
26.47	3.367	513	0 2 0
32.31	2.770	433	2 1 -2
39.85	2.262	432	2 2 0
24.18	3.681	413	1 1 -2
23.70	3.754	371	0 1 2
46.58	1.950	309	1 2 -4
33.17	2.701	274	0 2 2
42.97	2.105	210	1 3 0
29.25	3.053	185	2 0 0

=====

Simulated powder XRD pattern of CaHfGa2 for a wavelength of 1.5418 Å, from a crystal structure in Alexandria, relaxed with PBE.

Structure:
```
data_CaHfGa2
_cell_length_a 3.1548
_cell_length_b 3.1548
_cell_length_c 8.3323
_cell_angle_alpha 90.00
_cell_angle_beta 90.00
_cell_angle_gamma 90.00
_space_group_name_H-M_alt 'P 1'
_space_group_IT_number 1
_space_group_name_Hall 'P 1'
loop_
_atom_site_label
_atom_site_type_symbol
_atom_site_fract_x
_atom_site_fract_y
_atom_site_fract_z
Ca1 Ca 0.0000 0.0000 0.0000
Hf1 Hf 0.0000 0.0000 0.5000
Ga1 Ga 0.5000 0.5000 0.2685
Ga2 Ga 0.5000 0.5000 0.7315
```

Top 12 peaks for 2θ = 5–70°, by intensity:
two_theta	d [Å]	I/Imax	index
35.70	2.515	1000	1 0 2
10.62	8.332	707	0 0 1
40.43	2.231	361	1 1 0
43.42	2.084	287	0 0 4
60.84	1.523	194	1 1 4
30.29	2.950	158	1 0 1
58.51	1.577	119	2 0 0
41.92	2.155	113	1 1 1
59.66	1.550	41	2 0 1
21.33	4.166	40	0 0 2
52.64	1.739	38	1 1 3
67.31	1.391	36	2 1 1